Theoretical powder X-ray diffraction pattern of UGa3Au3 for Cu Kα X-rays, from a PBE-relaxed structure.
Peak positions follow from Bragg's law for the DFT cell and can differ from measured ones.

Atomic structure:
Unit cell a=7.0003 b=7.0003 c=7.0003 alpha=90.00 beta=90.00 gamma=90.00
Sites, in units of the cell vectors:
U  0.0000  0.0000  0.0000
U  0.5000  0.5000  0.5000
Ga  0.0000  0.2500  0.5000
Ga  0.0000  0.7500  0.5000
Ga  0.2500  0.5000  0.0000
Ga  0.5000  0.0000  0.2500
Ga  0.5000  0.0000  0.7500
Ga  0.7500  0.5000  0.0000
Au  0.0000  0.5000  0.2500
Au  0.0000  0.5000  0.7500
Au  0.2500  0.0000  0.5000
Au  0.5000  0.2500  0.0000
Au  0.5000  0.7500  0.0000
Au  0.7500  0.0000  0.5000

Principal peaks in the range 2θ = 10–80°, by angle:
| 2θ/deg | I/Imax | (hkl) |
| --- | --- | --- |
| 25.45 | 42 | 2 0 0 |
| 28.51 | 31 | 2 1 0 |
| 31.30 | 100 | 2 1 1 |
| 44.85 | 17 | 2 2 2 |
| 48.67 | 60 | 3 2 1 |
| 52.27 | 26 | 4 0 0 |
| 59.01 | 17 | 4 2 0 |
| 62.20 | 14 | 3 3 2 |
| 74.20 | 18 | 5 2 1 |
| 77.07 | 17 | 4 4 0 |